Structure and computed XRD peak list of La2O3 (a DFT-relaxed cell (GGA-PBE, the Materials Project); Cu Kα, 1.54184 Å).
Peak positions follow from Bragg's law for the DFT cell and can differ from measured ones.

Top 10 peaks for 2θ from 5° to 70°, in order of rising 2θ:
26.6 deg, I 83
28.1 deg, I 84
28.6 deg, I 91
29.5 deg, I 54
29.9 deg, I 85
30.6 deg, I 100
40.0 deg, I 50
44.9 deg, I 62
51.0 deg, I 36
52.8 deg, I 35

Cell and atoms:
```
data_La2O3
_chemical_formula_sum 'La6 O9'
_symmetry_space_group_name_H-M 'P 1'
_symmetry_Int_Tables_number 1
_symmetry_space_group_name_Hall 'P 1'
_cell_length_a 7.6222
_cell_length_b 7.6222
_cell_length_c 9.2243
_cell_angle_alpha 99.98
_cell_angle_beta 99.98
_cell_angle_gamma 28.85
loop_
_atom_site_label
_atom_site_type_symbol
_atom_site_fract_x
_atom_site_fract_y
_atom_site_fract_z
_atom_site_occupancy
La1 La 0.0330 0.0330 0.3120 1
La2 La 0.3096 0.3096 0.3617 1
La3 La 0.3655 0.3655 0.0075 1
La4 La 0.6345 0.6345 0.9925 1
La5 La 0.6904 0.6904 0.6383 1
La6 La 0.9670 0.9670 0.6880 1
O1 O 0.1281 0.1281 0.7863 1
O2 O 0.1759 0.1759 0.4749 1
O3 O 0.2003 0.2003 0.1273 1
O4 O 0.4742 0.4742 0.8434 1
O5 O 0.5000 0.5000 0.5000 1
O6 O 0.5258 0.5258 0.1567 1
O7 O 0.7997 0.7997 0.8727 1
O8 O 0.8241 0.8241 0.5251 1
O9 O 0.8719 0.8719 0.2137 1
```

=====

Structure and computed XRD peak list of LaO3 (a DFT-relaxed cell (GGA-PBE, the Materials Project); Cu Kα, 1.54184 Å).
Peak positions follow from Bragg's law for the DFT cell and can differ from measured ones.

Top 10 peaks for 2θ from 5° to 70°, in order of rising 2θ:
17.9 deg, I 88
26.9 deg, I 100
31.3 deg, I 61
36.3 deg, I 15
40.5 deg, I 21
41.8 deg, I 67
44.6 deg, I 16
52.1 deg, I 30
53.1 deg, I 54
55.8 deg, I 12

Cell and atoms:
```
data_LaO3
_chemical_formula_sum 'La2 O6'
_symmetry_space_group_name_H-M 'P 1'
_symmetry_Int_Tables_number 1
_symmetry_space_group_name_Hall 'P 1'
_cell_length_a 5.7115
_cell_length_b 5.7115
_cell_length_c 4.4567
_cell_angle_alpha 90.00
_cell_angle_beta 90.00
_cell_angle_gamma 120.00
loop_
_atom_site_label
_atom_site_type_symbol
_atom_site_fract_x
_atom_site_fract_y
_atom_site_fract_z
_atom_site_occupancy
La1 La 0.3333 0.6667 0.2500 1
La2 La 0.6667 0.3333 0.7500 1
O1 O 0.1455 0.4250 0.7500 1
O2 O 0.2795 0.8545 0.7500 1
O3 O 0.4250 0.2795 0.2500 1
O4 O 0.5750 0.7205 0.7500 1
O5 O 0.7205 0.1455 0.2500 1
O6 O 0.8545 0.5750 0.2500 1
```

=====

Structure and computed XRD peak list of La2O3 (a DFT-relaxed cell (GGA-PBE, the Materials Project); Cu Kα, 1.54184 Å).
Peak positions follow from Bragg's law for the DFT cell and can differ from measured ones.

Top 7 peaks for 2θ from 5° to 70°, in order of rising 2θ:
19.4 deg, I 1
27.6 deg, I 100
34.0 deg, I 2
39.4 deg, I 30
48.8 deg, I 43
57.0 deg, I 20
64.4 deg, I 19

Cell and atoms:
```
data_La2O3
_chemical_formula_sum 'La2 O3'
_symmetry_space_group_name_H-M 'P 1'
_symmetry_Int_Tables_number 1
_symmetry_space_group_name_Hall 'P 1'
_cell_length_a 4.5724
_cell_length_b 4.5724
_cell_length_c 4.5724
_cell_angle_alpha 90.00
_cell_angle_beta 90.00
_cell_angle_gamma 90.00
loop_
_atom_site_label
_atom_site_type_symbol
_atom_site_fract_x
_atom_site_fract_y
_atom_site_fract_z
_atom_site_occupancy
La1 La 0.0000 0.0000 0.0000 1
La2 La 0.5000 0.5000 0.5000 1
O1 O 0.0000 0.0000 0.5000 1
O2 O 0.0000 0.5000 0.0000 1
O3 O 0.5000 0.0000 0.0000 1
```

=====

Structure and computed XRD peak list of La4Os6O19 (a DFT-relaxed cell (GGA-PBE, the Materials Project); Cu Kα, 1.54184 Å).
Peak positions follow from Bragg's law for the DFT cell and can differ from measured ones.

Top 10 peaks for 2θ from 5° to 70°, in order of rising 2θ:
13.7 deg, I 26
19.4 deg, I 31
23.8 deg, I 35
30.9 deg, I 100
36.8 deg, I 56
41.9 deg, I 14
48.8 deg, I 16
50.9 deg, I 62
55.0 deg, I 18
60.7 deg, I 33

Cell and atoms:
```
data_La4Os6O19
_chemical_formula_sum 'La4 Os6 O19'
_symmetry_space_group_name_H-M 'P 1'
_symmetry_Int_Tables_number 1
_symmetry_space_group_name_Hall 'P 1'
_cell_length_a 7.9239
_cell_length_b 7.9239
_cell_length_c 7.9239
_cell_angle_alpha 109.47
_cell_angle_beta 109.47
_cell_angle_gamma 109.47
loop_
_atom_site_label
_atom_site_type_symbol
_atom_site_fract_x
_atom_site_fract_y
_atom_site_fract_z
_atom_site_occupancy
La1 La 0.0000 0.0000 0.3144 1
La2 La 0.0000 0.3144 0.0000 1
La3 La 0.3144 0.0000 0.0000 1
La4 La 0.6856 0.6856 0.6856 1
Os1 Os 0.1372 0.6372 0.5000 1
Os2 Os 0.3628 0.5000 0.8628 1
Os3 Os 0.5000 0.1372 0.6372 1
Os4 Os 0.5000 0.8628 0.3628 1
Os5 Os 0.6372 0.5000 0.1372 1
Os6 Os 0.8628 0.3628 0.5000 1
O1 O 0.0000 0.0000 0.0000 1
O2 O 0.0000 0.3240 0.3240 1
O3 O 0.0000 0.6760 0.6760 1
O4 O 0.0599 0.3321 0.7048 1
O5 O 0.2721 0.9401 0.6449 1
O6 O 0.2952 0.6273 0.3551 1
O7 O 0.3240 0.0000 0.3240 1
O8 O 0.3240 0.3240 0.0000 1
O9 O 0.3321 0.7048 0.0599 1
O10 O 0.3551 0.2952 0.6273 1
O11 O 0.3727 0.6679 0.7279 1
O12 O 0.6273 0.3551 0.2952 1
O13 O 0.6449 0.2721 0.9401 1
O14 O 0.6679 0.7279 0.3727 1
O15 O 0.6760 0.0000 0.6760 1
O16 O 0.6760 0.6760 0.0000 1
O17 O 0.7048 0.0599 0.3321 1
O18 O 0.7279 0.3727 0.6679 1
O19 O 0.9401 0.6449 0.2721 1
```